(1)
The following is a calculated powder diffractogram of NaV2Bi3O10. It was derived from a crystal structure in the Materials Project, relaxed with GGA+U, using Cu Kα (λ = 1.5418 Å).
Kinematic intensities with the Lorentz-polarization factor, no thermal factor.

Top 10 peaks for 10° ≤ 2θ ≤ 90°, low angle first:
- 2θ 14.25, intensity 90
- 2θ 17.61, intensity 38
- 2θ 25.68, intensity 35
- 2θ 26.24, intensity 100
- 2θ 26.70, intensity 54
- 2θ 27.26, intensity 75
- 2θ 28.08, intensity 76
- 2θ 31.21, intensity 57
- 2θ 31.32, intensity 46
- 2θ 43.71, intensity 41

Structure:
Unit cell a=5.644 b=7.220 c=7.243 alpha=107.08 beta=112.70 gamma=96.33
Fractional coordinates of all 16 atoms:
Na  0.000  0.000  0.000
V  0.649  0.219  0.331
V  0.954  0.533  0.045
Bi  0.217  0.623  0.671
Bi  0.394  0.132  0.725
Bi  0.610  0.760  0.404
O  0.046  0.874  0.648
O  0.145  0.684  0.975
O  0.173  0.572  0.316
O  0.448  0.176  0.064
O  0.469  0.064  0.410
O  0.552  0.866  0.710
O  0.672  0.609  0.028
O  0.737  0.481  0.490
O  0.854  0.279  0.884
O  0.931  0.146  0.360



(2)
The following is a calculated powder diffractogram of LiCo2OF3. It was derived from a crystal structure in the Materials Project, relaxed with GGA+U, using Cu Kα (λ = 1.5418 Å).
Kinematic intensities with the Lorentz-polarization factor, no thermal factor.

Top 10 peaks for 10° ≤ 2θ ≤ 90°, low angle first:
- 2θ 17.82, intensity 27
- 2θ 20.52, intensity 46
- 2θ 29.04, intensity 35
- 2θ 29.51, intensity 94
- 2θ 34.45, intensity 100
- 2θ 34.72, intensity 89
- 2θ 51.85, intensity 32
- 2θ 55.40, intensity 27
- 2θ 60.18, intensity 30
- 2θ 61.36, intensity 37

Structure:
Unit cell a=6.044 b=6.044 c=6.062 alpha=118.93 beta=118.93 gamma=60.45
Fractional coordinates of all 14 atoms:
Li  0.000  0.000  0.000
Li  0.000  0.000  0.500
Co  0.000  0.499  0.999
Co  0.363  0.363  0.569
Co  0.501  0.000  0.001
Co  0.637  0.637  0.431
O  0.240  0.242  0.194
O  0.758  0.760  0.806
F  0.234  0.238  0.724
F  0.237  0.762  0.257
F  0.238  0.763  0.743
F  0.760  0.238  0.256
F  0.762  0.240  0.744
F  0.762  0.766  0.276